Structure and calculated X-ray powder pattern of La2TbCd3AgAu2 (a GGA-PBE-relaxed structure; copper Kα).
Peak positions follow from Bragg's law for the DFT cell and can differ from measured ones.

Cell and atoms:
Cell: 3.9695 8.0320 8.0320 Å, 119.86 90.00 90.00°
Sites, in units of the cell vectors:
La 0.0000 0.2047 0.7953
La 0.0000 0.7953 0.2047
Tb 0.0000 0.3864 0.3864
Cd 0.5000 0.0561 0.0561
Cd 0.5000 0.5379 0.7903
Cd 0.5000 0.7903 0.5379
Ag 0.0000 0.7933 0.7933
Au 0.5000 0.1360 0.4603
Au 0.5000 0.4603 0.1360

Peak list (8 most intense, 5° ≤ 2θ ≤ 70°, in order of falling intensity)
Position (°2θ), intensity
31.68, 100
34.27, 99
38.81, 51
34.08, 47
41.16, 35
61.48, 26
45.71, 25
62.75, 22